Structure and theoretical X-ray powder pattern of Li3Tm5S8 (DFT lattice parameters and positions (PBE); Cu Kα (weighted mean of Kα1 and Kα2)).

```
Li3Tm5S8
1.0
3.8249 2.2083 6.2188
-3.8249 2.2083 6.2188
0.0000 -4.4166 6.2188
Li Tm S
3 5 8
direct
0.0000 0.5000 0.5000 Li
0.5000 0.0000 0.5000 Li
0.5000 0.5000 0.0000 Li
0.0000 0.0000 0.0000 Tm
0.0000 0.0000 0.5000 Tm
0.0000 0.5000 0.0000 Tm
0.5000 0.0000 0.0000 Tm
0.5000 0.5000 0.5000 Tm
0.2499 0.2499 0.2499 S
0.2499 0.2499 0.7462 S
0.2499 0.7462 0.2499 S
0.2538 0.7501 0.7501 S
0.7462 0.2499 0.2499 S
0.7501 0.2538 0.7501 S
0.7501 0.7501 0.2538 S
0.7501 0.7501 0.7501 S
```

Principal peaks in the range 10 to 90 degrees two-theta, in order of falling intensity:
- 2θ = 33.17°, intensity 100
- 2θ = 14.23°, intensity 62
- 2θ = 27.36°, intensity 42
- 2θ = 28.60°, intensity 39
- 2θ = 47.55°, intensity 36
- 2θ = 47.69°, intensity 35
- 2θ = 56.47°, intensity 20
- 2θ = 36.25°, intensity 19
- 2θ = 59.20°, intensity 18
- 2θ = 79.22°, intensity 16



Structure and theoretical X-ray powder pattern of Ac2GeSbAu6 (DFT lattice parameters and positions (PBE); Cu Kα (weighted mean of Kα1 and Kα2)).

```
Ac2GeSbAu6
1.0
5.5243 0.0000 0.0000
2.7616 6.6333 0.0000
2.7525 -0.0167 6.8053
Ac Ge Sb Au
2 1 1 6
direct
0.2440 0.2338 0.2780 Ac
0.7560 0.7662 0.7220 Ac
0.0000 0.0000 0.0000 Ge
0.5000 0.5000 0.5000 Sb
0.2202 0.7917 0.2647 Au
0.2478 0.5848 0.9206 Au
0.2775 0.2086 0.7369 Au
0.7225 0.7914 0.2631 Au
0.7522 0.4152 0.0794 Au
0.7798 0.2083 0.7353 Au
```

Principal peaks in the range 10 to 90 degrees two-theta, in order of falling intensity:
- 2θ = 37.67°, intensity 100
- 2θ = 37.90°, intensity 58
- 2θ = 37.44°, intensity 38
- 2θ = 26.22°, intensity 37
- 2θ = 38.19°, intensity 33
- 2θ = 26.64°, intensity 32
- 2θ = 26.88°, intensity 19
- 2θ = 32.56°, intensity 16
- 2θ = 30.00°, intensity 16
- 2θ = 42.09°, intensity 15